For Li2SmY2In5, DFT lattice parameters and positions (PBE) gives the simulated X-ray diffraction stick pattern in this record (copper Kα).
No peak broadening, texture or thermal motion is included.

Largest 6 diffraction maxima, most intense first, 10° ≤ 2θ ≤ 80°:
2θ (°)  Rel. int.  hkl
33.97  100  3 1 1
27.88  52  2 1 1
35.49  40  4 1 0
38.60  32  4 2 0
31.66  31  2 2 1
55.38  28  4 1 2

Crystal structure
abc: 10.4302 10.4302 4.3985
angles: 90.00 90.00 90.00
Space group P4/mbm (No. 127)
Unique sites:
1 Li 0.1201 0.3799 0.0000 [4 per cell]
2 Sm 0.0000 0.0000 0.0000 [2 per cell]
3 Y 0.1739 0.6739 0.0000 [4 per cell]
4 In 0.0000 0.5000 0.5000 [2 per cell]
5 In 0.0751 0.2145 0.5000 [8 per cell]